The following is a calculated PXRD pattern of TlCd5In2. It was derived from a DFT-relaxed cell (PBE, Alexandria), using Cu Ka.
Lines closer than 0.1° are merged.

Principal peaks in the range 2θ from 15° to 90°, in order of rising 2θ:
- d 2.818, I = 25, hkl 1 1 1
- d 2.678, I = 81, hkl 0 2 1
- d 2.639, I = 100, hkl 4 2 0
- d 2.613, I = 45, hkl 4 0 -1
- d 2.406, I = 34, hkl 0 4 0
- d 2.170, I = 12, hkl 1 3 1
- d 2.013, I = 16, hkl 4 0 1
- d 1.770, I = 23, hkl 4 4 -1
- d 1.666, I = 13, hkl 2 0 -2
- d 1.544, I = 11, hkl 4 4 1
- d 1.507, I = 17, hkl 8 2 -1
- d 1.409, I = 27, hkl 2 2 2

Atomic structure:
abc: 13.0569 9.6248 3.3329
angles: 90.00 104.76 90.00
Space group C2/m (No. 12)
Inequivalent atoms, fractional coordinates:
Tl 0.0000 0.0000 0.0000 x2
Cd 0.0000 0.5000 0.0000 x2
Cd 0.1253 0.2735 0.6258 x8
In 0.2438 0.0000 0.7483 x4